Entry 1:
Structure and simulated powder XRD pattern of Sc3Cd2In (a crystal structure in Alexandria, relaxed with GGA-PBE; Cu Kα (λ = 1.5418 Å)).
No peak broadening, texture or thermal motion is included.

Principal peaks in the range 2θ = 10–80°, in order of rising 2θ:
Position (°2θ)	I (rel.)	hkl
25.12	24	1 0 1
35.82	100	1 1 0
44.25	7	0 2 1
51.56	17	2 0 2
58.19	9	2 1 1
64.35	25	1 2 2
64.42	8	3 0 0
75.85	5	0 2 4
75.97	5	2 2 0

Atomic structure:
```
data_Sc3Cd2In
_space_group_name_H-M_alt 'P -3 m 1'
_space_group_IT_number 164
_space_group_name_Hall '-P 3 2"'
_cell_length_a 5.0102
_cell_length_b 5.0102
_cell_length_c 6.1490
_cell_angle_alpha 90.00
_cell_angle_beta 90.00
_cell_angle_gamma 120.00
loop_
_atom_site_label
_atom_site_fract_x
_atom_site_fract_y
_atom_site_fract_z
Sc1 0.0000 0.0000 0.0000
Sc2 0.3333 0.6667 0.6654
Cd1 0.3333 0.6667 0.1568
In1 0.0000 0.0000 0.5000
```

=====

Entry 2:
Structure and simulated powder XRD pattern of Sc4CdIn (a crystal structure in Alexandria, relaxed with GGA-PBE; Cu Kα (λ = 1.5418 Å)).
No peak broadening, texture or thermal motion is included.

Principal peaks in the range 2θ = 10–80°, in order of rising 2θ:
Position (°2θ)	I (rel.)	hkl
19.80	58	0 1 1
29.31	67	1 0 1
34.17	44	0 2 0
35.58	69	0 1 3
38.65	100	1 1 2
41.86	12	0 0 4
45.62	38	1 2 1
60.72	16	1 0 5
62.09	12	0 3 3
64.16	21	1 3 2
68.59	18	2 1 3
71.55	19	1 2 5

Atomic structure:
```
data_Sc4CdIn
_space_group_name_H-M_alt 'P m m m'
_space_group_IT_number 47
_cell_length_a 3.2566
_cell_length_b 5.2486
_cell_length_c 8.6333
_cell_angle_alpha 90.00
_cell_angle_beta 90.00
_cell_angle_gamma 90.00
loop_
_space_group_symop_operation_xyz
'x,y,z'
'-x,-y,-z'
'-x,-y,z'
'x,y,-z'
'x,-y,-z'
'-x,y,z'
'-x,y,-z'
'x,-y,z'
loop_
_atom_site_label
_atom_site_fract_x
_atom_site_fract_y
_atom_site_fract_z
Sc1 0.0000 0.0000 0.1932
Sc2 0.5000 0.5000 0.3026
Cd1 0.0000 0.5000 0.0000
In1 0.5000 0.0000 0.5000
```

=====

Entry 3:
Structure and simulated powder XRD pattern of ScCdIn2 (a crystal structure in Alexandria, relaxed with GGA-PBE; Cu Kα (λ = 1.5418 Å)).
No peak broadening, texture or thermal motion is included.

Principal peaks in the range 2θ = 10–80°, in order of rising 2θ:
Position (°2θ)	I (rel.)	hkl
31.29	33	1 1 -1
33.64	67	4 0 0
34.48	29	2 0 -2
35.36	100	1 1 1
35.92	94	3 1 -1
37.99	28	0 0 2
39.04	27	4 0 -2
53.57	17	0 2 0
59.80	23	3 1 -3
60.90	19	5 1 1
62.01	19	7 1 -1
64.76	19	4 2 0

Atomic structure:
```
data_ScCdIn2
_space_group_name_H-M_alt 'C 1 m 1'
_space_group_IT_number 8
_cell_length_a 11.7094
_cell_length_b 3.4213
_cell_length_c 5.2045
_cell_angle_alpha 90.00
_cell_angle_beta 114.48
_cell_angle_gamma 90.00
loop_
_space_group_symop_operation_xyz
'x,y,z'
'x,-y,z'
'x+1/2,y+1/2,z'
'x+1/2,-y+1/2,z'
loop_
_atom_site_label
_atom_site_fract_x
_atom_site_fract_y
_atom_site_fract_z
Sc1 0.0000 0.0000 0.0000
Cd1 0.2606 0.0000 0.6178
In1 0.0004 0.5000 0.4910
In2 0.2431 0.5000 0.0993
```

=====

Entry 4:
Structure and simulated powder XRD pattern of Sc2Cd4In (a crystal structure in Alexandria, relaxed with GGA-PBE; Cu Kα (λ = 1.5418 Å)).
No peak broadening, texture or thermal motion is included.

Principal peaks in the range 2θ = 10–80°, in order of rising 2θ:
Position (°2θ)	I (rel.)	hkl
17.69	40	0 2 0
29.15	30	1 1 3
31.00	40	0 0 4
35.43	100	2 2 0
35.86	88	0 4 0
38.84	17	1 3 3
44.00	22	2 0 4
47.77	53	2 2 4
48.07	24	0 4 4
57.98	18	2 4 4
75.00	18	4 4 0
75.90	23	0 8 0

Atomic structure:
```
data_Sc2Cd4In
_space_group_name_H-M_alt 'F m m m'
_space_group_IT_number 69
_space_group_name_Hall '-F 2 2'
_cell_length_a 5.8715
_cell_length_b 10.0297
_cell_length_c 11.5402
_cell_angle_alpha 90.00
_cell_angle_beta 90.00
_cell_angle_gamma 90.00
loop_
_atom_site_label
_atom_site_fract_x
_atom_site_fract_y
_atom_site_fract_z
Sc1 0.0000 0.0000 0.1422
Cd1 0.2500 0.2500 0.0000
Cd2 0.2500 0.2500 0.2500
In1 0.0000 0.0000 0.5000
```

=====

Entry 5:
Structure and simulated powder XRD pattern of Sc2CdIn (a crystal structure in Alexandria, relaxed with GGA-PBE; Cu Kα (λ = 1.5418 Å)).
No peak broadening, texture or thermal motion is included.

Principal peaks in the range 2θ = 10–80°, in order of rising 2θ:
Position (°2θ)	I (rel.)	hkl
25.00	24	1 1 0
25.32	12	0 0 1
35.64	51	2 0 0
35.88	100	1 1 1
44.22	11	2 0 1
51.29	17	2 2 0
51.99	8	0 0 2
57.88	5	3 1 0
64.17	33	3 1 1
64.63	16	2 0 2
75.48	5	4 0 0
76.05	10	2 2 2

Atomic structure:
```
data_Sc2CdIn
_space_group_name_H-M_alt 'P 4/m m m'
_space_group_IT_number 123
_space_group_name_Hall '-P 4 2'
_cell_length_a 5.0381
_cell_length_b 5.0381
_cell_length_c 3.5176
_cell_angle_alpha 90.00
_cell_angle_beta 90.00
_cell_angle_gamma 90.00
loop_
_atom_site_label
_atom_site_fract_x
_atom_site_fract_y
_atom_site_fract_z
Sc1 0.0000 0.5000 0.0000
Cd1 0.0000 0.0000 0.5000
In1 0.5000 0.5000 0.5000
```

=====

Entry 6:
Structure and simulated powder XRD pattern of YSc2Cd2In2 (a crystal structure in Alexandria, relaxed with GGA-PBE; Cu Kα (λ = 1.5418 Å)).
No peak broadening, texture or thermal motion is included.

Principal peaks in the range 2θ = 10–80°, in order of rising 2θ:
Position (°2θ)	I (rel.)	hkl
21.24	22	0 0 6
25.50	27	1 0 4
32.82	97	1 0 7
37.03	100	1 1 0
41.91	10	1 0 10
43.08	21	1 1 6
45.21	7	0 1 11
50.31	28	0 2 7
63.26	7	1 0 16
64.09	26	2 1 7
66.73	16	3 0 0
78.85	10	2 2 0

Atomic structure:
```
data_YSc2Cd2In2
_space_group_name_H-M_alt 'R -3 m'
_space_group_IT_number 166
_space_group_name_Hall '-R 3 2"'
_cell_length_a 4.8556
_cell_length_b 4.8556
_cell_length_c 25.1029
_cell_angle_alpha 90.00
_cell_angle_beta 90.00
_cell_angle_gamma 120.00
loop_
_atom_site_label
_atom_site_fract_x
_atom_site_fract_y
_atom_site_fract_z
Y1 0.0000 0.0000 0.0000
Sc1 0.0000 0.0000 0.1362
Cd1 0.0000 0.0000 0.4340
In1 0.0000 0.0000 0.2640
```